Ti4Se3O: calculated powder X-ray diffraction pattern (Cu Kα X-rays), based on a structure optimized by DFT (GGA-PBE).

Crystal structure
Lattice parameters (Å, degrees): 6.739 6.498 6.579 90.00 90.00 90.00
Atoms (fractional coordinates):
Ti  0.000  0.142  0.000
Ti  0.000  0.831  0.325
Ti  0.243  0.782  0.843
Ti  0.257  0.218  0.343
Ti  0.500  0.169  0.825
Ti  0.500  0.858  0.500
Ti  0.743  0.218  0.343
Ti  0.757  0.782  0.843
Se  0.000  0.086  0.615
Se  0.242  0.583  0.507
Se  0.258  0.417  0.007
Se  0.500  0.914  0.115
Se  0.742  0.417  0.007
Se  0.758  0.583  0.507
O  0.000  0.835  0.024
O  0.500  0.165  0.524

Main lines, sorted by position (5° ≤ 2θ ≤ 70°):
| 2θ (°) | I_rel |
| --- | --- |
| 27.11 | 30 |
| 29.87 | 100 |
| 30.48 | 27 |
| 30.69 | 44 |
| 32.89 | 55 |
| 38.96 | 26 |
| 40.77 | 51 |
| 40.95 | 48 |
| 41.29 | 20 |
| 44.01 | 21 |
| 52.09 | 39 |
| 54.47 | 27 |

Ti5Se2O: calculated powder X-ray diffraction pattern (Cu Kα X-rays), based on a structure optimized by DFT (GGA-PBE).

Crystal structure
Lattice parameters (Å, degrees): 6.665 6.665 10.693 90.00 90.00 142.57
Atoms (fractional coordinates):
Ti  0.091  0.909  0.623
Ti  0.091  0.909  0.877
Ti  0.284  0.716  0.250
Ti  0.293  0.707  0.560
Ti  0.293  0.707  0.940
Ti  0.707  0.293  0.060
Ti  0.707  0.293  0.440
Ti  0.716  0.284  0.750
Ti  0.909  0.091  0.123
Ti  0.909  0.091  0.377
Se  0.110  0.890  0.109
Se  0.110  0.890  0.391
Se  0.890  0.110  0.609
Se  0.890  0.110  0.891
O  0.219  0.781  0.750
O  0.781  0.219  0.250

Main lines, sorted by position (5° ≤ 2θ ≤ 70°):
| 2θ (°) | I_rel |
| --- | --- |
| 14.03 | 29 |
| 21.95 | 100 |
| 28.76 | 36 |
| 33.51 | 25 |
| 36.50 | 15 |
| 39.26 | 28 |
| 40.43 | 54 |
| 41.54 | 80 |
| 42.27 | 49 |
| 44.41 | 30 |
| 54.39 | 21 |
| 62.98 | 20 |

TlSeO4: calculated powder X-ray diffraction pattern (Cu Kα X-rays), based on a structure optimized by DFT (GGA-PBE).

Crystal structure
Lattice parameters (Å, degrees): 6.422 6.422 6.422 124.40 102.82 102.31
Atoms (fractional coordinates):
Tl  0.000  0.000  0.000
Tl  0.500  0.000  0.500
Se  0.338  0.588  0.750
Se  0.662  0.412  0.250
O  0.220  0.232  0.512
O  0.220  0.708  0.988
O  0.271  0.698  0.573
O  0.376  0.302  0.073
O  0.624  0.698  0.927
O  0.729  0.302  0.427
O  0.780  0.292  0.012
O  0.780  0.768  0.488

Main lines, sorted by position (5° ≤ 2θ ≤ 70°):
| 2θ (°) | I_rel |
| --- | --- |
| 18.46 | 26 |
| 22.07 | 37 |
| 29.01 | 100 |
| 29.83 | 24 |
| 36.67 | 19 |
| 37.45 | 21 |
| 43.29 | 21 |
| 43.93 | 14 |
| 45.28 | 9 |
| 50.92 | 10 |
| 52.44 | 19 |
| 59.97 | 13 |

Tl2SeO4: calculated powder X-ray diffraction pattern (Cu Kα X-rays), based on a structure optimized by DFT (GGA-PBE).

Crystal structure
Lattice parameters (Å, degrees): 6.457 8.125 10.975 90.00 90.00 90.00
Atoms (fractional coordinates):
Tl  0.017  0.240  0.205
Tl  0.033  0.077  0.577
Tl  0.467  0.923  0.077
Tl  0.483  0.760  0.705
Tl  0.517  0.260  0.795
Tl  0.533  0.423  0.423
Tl  0.967  0.577  0.923
Tl  0.983  0.740  0.295
Se  0.013  0.551  0.589
Se  0.487  0.449  0.089
Se  0.513  0.949  0.411
Se  0.987  0.051  0.911
O  0.045  0.944  0.039
O  0.066  0.746  0.549
O  0.190  0.041  0.815
O  0.222  0.471  0.657
O  0.278  0.529  0.157
O  0.310  0.959  0.315
O  0.434  0.254  0.049
O  0.455  0.056  0.539
O  0.545  0.556  0.961
O  0.566  0.754  0.451
O  0.690  0.459  0.185
O  0.722  0.029  0.343
O  0.778  0.971  0.843
O  0.810  0.541  0.685
O  0.934  0.246  0.951
O  0.955  0.444  0.461

Main lines, sorted by position (5° ≤ 2θ ≤ 70°):
| 2θ (°) | I_rel |
| --- | --- |
| 23.93 | 38 |
| 25.91 | 38 |
| 27.18 | 99 |
| 27.31 | 37 |
| 27.63 | 65 |
| 28.03 | 100 |
| 32.95 | 22 |
| 34.08 | 24 |
| 39.24 | 36 |
| 43.52 | 24 |
| 48.58 | 18 |
| 49.33 | 29 |

Tl2Se3O9: calculated powder X-ray diffraction pattern (Cu Kα X-rays), based on a structure optimized by DFT (GGA-PBE).

Crystal structure
Lattice parameters (Å, degrees): 4.851 11.474 18.205 90.00 99.46 90.00
Atoms (fractional coordinates):
Tl  0.105  0.144  0.373
Tl  0.105  0.356  0.873
Tl  0.375  0.562  0.705
Tl  0.375  0.938  0.205
Tl  0.625  0.062  0.795
Tl  0.625  0.438  0.295
Tl  0.895  0.644  0.127
Tl  0.895  0.856  0.627
Se  0.130  0.679  0.302
Se  0.130  0.821  0.802
Se  0.221  0.103  0.940
Se  0.221  0.397  0.440
Se  0.334  0.059  0.594
Se  0.334  0.441  0.094
Se  0.666  0.559  0.906
Se  0.666  0.941  0.406
Se  0.779  0.603  0.560
Se  0.779  0.897  0.060
Se  0.870  0.179  0.198
Se  0.870  0.321  0.698
O  0.023  0.536  0.910
O  0.023  0.964  0.410
O  0.075  0.528  0.598
O  0.075  0.972  0.098
O  0.086  0.074  0.252
O  0.086  0.426  0.752
O  0.101  0.235  0.969
O  0.101  0.265  0.469
O  0.184  0.750  0.219
O  0.184  0.750  0.719
O  0.347  0.163  0.864
O  0.347  0.337  0.364
O  0.425  0.603  0.334
O  0.425  0.897  0.834
O  0.432  0.586  0.106
O  0.432  0.914  0.606
O  0.438  0.122  0.681
O  0.438  0.378  0.181
O  0.562  0.622  0.819
O  0.562  0.878  0.319
O  0.568  0.086  0.394
O  0.568  0.414  0.894
O  0.575  0.103  0.166
O  0.575  0.397  0.666
O  0.653  0.663  0.636
O  0.653  0.837  0.136
O  0.816  0.250  0.281
O  0.816  0.250  0.781
O  0.899  0.735  0.531
O  0.899  0.765  0.031
O  0.914  0.574  0.248
O  0.914  0.926  0.748
O  0.925  0.028  0.902
O  0.925  0.472  0.402
O  0.977  0.036  0.590
O  0.977  0.464  0.090

Main lines, sorted by position (5° ≤ 2θ ≤ 70°):
| 2θ (°) | I_rel |
| --- | --- |
| 9.85 | 78 |
| 12.52 | 100 |
| 21.03 | 58 |
| 24.10 | 85 |
| 25.00 | 41 |
| 25.33 | 34 |
| 26.00 | 79 |
| 26.83 | 84 |
| 30.50 | 37 |
| 31.59 | 48 |
| 37.25 | 35 |
| 50.08 | 36 |